Entry 1:
Diffraction record for Sm2Ge7Au12. The powder diffraction line list is simulated, not measured: it uses a crystal structure in Alexandria, relaxed with GGA-PBE and copper Kα.

Main lines, by intensity (10° ≤ 2θ ≤ 90°):
2θ = 32.93°, d 2.720, rel. 100.0
2θ = 47.18°, d 1.926, rel. 14.8
2θ = 41.60°, d 2.171, rel. 14.6
2θ = 38.32°, d 2.349, rel. 14.0
2θ = 47.33°, d 1.921, rel. 13.5
2θ = 44.75°, d 2.025, rel. 12.2

Structural model:
Cell: 10.1933 10.1933 4.6979 Å, 90.00 90.00 120.00°
Positions (direct):
Sm1 0.3333 0.6667 0.2257
Sm2 0.6667 0.3333 0.7743
Ge1 0.0000 0.0000 0.5000
Ge2 0.1135 0.7258 0.6642
Ge3 0.2742 0.3877 0.6642
Ge4 0.3877 0.1135 0.3358
Ge5 0.6123 0.8865 0.6642
Ge6 0.7258 0.6123 0.3358
Ge7 0.8865 0.2742 0.3358
Au1 0.0709 0.4635 0.7735
Au2 0.1276 0.2686 0.1757
Au3 0.1411 0.8724 0.1757
Au4 0.2686 0.1411 0.8243
Au5 0.3927 0.9291 0.7735
Au6 0.4635 0.3927 0.2265
Au7 0.5365 0.6073 0.7735
Au8 0.6073 0.0709 0.2265
Au9 0.7314 0.8589 0.1757
Au10 0.8589 0.1276 0.8243
Au11 0.8724 0.7314 0.8243
Au12 0.9291 0.5365 0.2265

Entry 2:
Diffraction record for Ce4TmBi5. The powder diffraction line list is simulated, not measured: it uses a crystal structure in Alexandria, relaxed with GGA-PBE and copper Kα.

Main lines, by intensity (10° ≤ 2θ ≤ 90°):
2θ = 27.60°, d 3.231, rel. 100.0
2θ = 39.44°, d 2.285, rel. 78.4
2θ = 64.48°, d 1.445, rel. 37.5
2θ = 48.81°, d 1.866, rel. 28.6
2θ = 71.52°, d 1.319, rel. 27.8
2θ = 57.00°, d 1.616, rel. 13.5

Structural model:
Cell: 7.9132 7.9132 7.9132 Å, 99.62 99.62 131.74°
Positions (direct):
Ce1 0.0974 0.3006 0.3981
Ce2 0.3006 0.9026 0.2032
Ce3 0.6994 0.0974 0.7968
Ce4 0.9026 0.6994 0.6019
Tm1 0.5000 0.5000 0.0000
Bi1 0.0000 0.0000 0.0000
Bi2 0.2057 0.5993 0.8050
Bi3 0.4007 0.2057 0.6064
Bi4 0.5993 0.7943 0.3936
Bi5 0.7943 0.4007 0.1950